Diffraction record for AlHg2Pb. The PXRD pattern is calculated, not measured: it uses a cell relaxed with PBE and Cu Ka.
Neutral-atom scattering factors, no anomalous dispersion.

Structural model:
```
data_AlHg2Pb
_cell_length_a 8.4681
_cell_length_b 3.5690
_cell_length_c 6.8862
_cell_angle_alpha 90.00
_cell_angle_beta 102.59
_cell_angle_gamma 90.00
_symmetry_space_group_name_H-M 'C 1 2/m 1'
_symmetry_Int_Tables_number 12
loop_
_symmetry_equiv_pos_as_xyz
'x,y,z'
'-x,-y,-z'
'-x,y,-z'
'x,-y,z'
'x+1/2,y+1/2,z'
'-x+1/2,-y+1/2,-z'
'-x+1/2,y+1/2,-z'
'x+1/2,-y+1/2,z'
loop_
_atom_site_label
_atom_site_fract_x
_atom_site_fract_y
_atom_site_fract_z
Al1 0.0000 0.0000 0.0000
Hg1 0.2378 0.5000 0.2039
Pb1 0.0000 0.5000 0.5000
```

Largest 6 diffraction maxima, in order of rising 2θ, 2θ = 5–70°:
30.41 deg, intensity 526, hkl 2 0 -2; 31.39 deg, intensity 1000, hkl 1 1 1; 36.61 deg, intensity 251, hkl 1 1 -2; 38.02 deg, intensity 231, hkl 2 0 2; 41.26 deg, intensity 525, hkl 3 1 -1; 47.12 deg, intensity 237, hkl 1 1 -3